1.
Computed PXRD pattern
Compound: Rb3Tl2Sn9
Radiation: Cu Kα X-rays
Structure: a structure optimized by DFT (GGA-PBE)
Neutral-atom scattering factors, no anomalous dispersion.

Most intense lines, 5° ≤ 2θ ≤ 70°, low angle first:
d = 3.118 Å, 2θ = 28.63°, rel. 100.0
d = 2.994 Å, 2θ = 29.84°, rel. 27.6
d = 2.808 Å, 2θ = 31.87°, rel. 44.1
d = 2.707 Å, 2θ = 33.09°, rel. 36.2
d = 2.698 Å, 2θ = 33.20°, rel. 52.5
d = 1.911 Å, 2θ = 47.59°, rel. 30.0

Crystal structure
Lattice parameters (Å, degrees): 10.1147 10.1147 10.1147 149.05 115.56 73.19
Fractional coordinates of all 14 atoms:
Rb  0.0000  0.0000  0.0000
Rb  0.3103  0.3103  0.0000
Rb  0.6897  0.6897  0.0000
Tl  0.3004  0.5000  0.8004
Tl  0.6996  0.5000  0.1996
Sn  0.0374  0.6764  0.3609
Sn  0.1277  0.8555  0.2722
Sn  0.3155  0.6764  0.6391
Sn  0.4168  0.1445  0.2722
Sn  0.5000  0.0000  0.5000
Sn  0.5832  0.8555  0.7278
Sn  0.6845  0.3236  0.3609
Sn  0.8723  0.1445  0.7278
Sn  0.9626  0.3236  0.6391

=====

2.
Computed PXRD pattern
Compound: Rb2TlSn7
Radiation: Cu Kα X-rays
Structure: a structure optimized by DFT (GGA-PBE)
Neutral-atom scattering factors, no anomalous dispersion.

Most intense lines, 5° ≤ 2θ ≤ 70°, low angle first:
d = 6.066 Å, 2θ = 14.60°, rel. 21.3
d = 3.224 Å, 2θ = 27.67°, rel. 100.0
d = 2.687 Å, 2θ = 33.35°, rel. 56.8
d = 2.370 Å, 2θ = 37.96°, rel. 41.4
d = 1.900 Å, 2θ = 47.88°, rel. 20.9
d = 1.637 Å, 2θ = 56.20°, rel. 23.3

Crystal structure
Lattice parameters (Å, degrees): 5.3736 5.3736 12.1324 90.00 90.00 90.00
Fractional coordinates of all 10 atoms:
Rb  0.0000  0.5000  0.2490
Rb  0.5000  0.0000  0.7510
Tl  0.5000  0.5000  0.0000
Sn  0.0000  0.0000  0.0000
Sn  0.0000  0.0000  0.5000
Sn  0.0000  0.5000  0.6214
Sn  0.0000  0.5000  0.8744
Sn  0.5000  0.0000  0.1256
Sn  0.5000  0.0000  0.3786
Sn  0.5000  0.5000  0.5000

=====

3.
Computed PXRD pattern
Compound: RbYSn
Radiation: Cu Kα X-rays
Structure: a structure optimized by DFT (GGA-PBE)
Neutral-atom scattering factors, no anomalous dispersion.

Most intense lines, 5° ≤ 2θ ≤ 70°, low angle first:
d = 13.921 Å, 2θ = 6.35°, rel. 100.0
d = 3.480 Å, 2θ = 25.60°, rel. 17.9
d = 2.846 Å, 2θ = 31.43°, rel. 14.0
d = 2.829 Å, 2θ = 31.63°, rel. 15.6
d = 2.591 Å, 2θ = 34.61°, rel. 16.7
d = 2.306 Å, 2θ = 39.06°, rel. 13.6

Crystal structure
Lattice parameters (Å, degrees): 4.2072 4.6096 13.9214 90.07 90.62 90.00
Fractional coordinates of all 6 atoms:
Rb  0.0000  0.0000  0.0000
Rb  0.4872  0.4976  0.7016
Y  0.0130  0.4998  0.2489
Y  0.0216  0.0007  0.4431
Sn  0.5125  0.9996  0.2399
Sn  0.5225  0.5008  0.4410